For PmMnAsO6, the GGA+U geometry in Alexandria gives the simulated X-ray diffraction stick pattern in this record (Cu Kα (weighted mean of Kα1 and Kα2)).
No peak broadening, texture or thermal motion is included.

Largest 10 diffraction maxima, by angle, 10° ≤ 2θ ≤ 90°:
d_spacing, 2θ/deg, I (rel.), (hkl)
4.325, 20.53, 9, 1 0 0
3.293, 27.08, 100, 1 0 1
2.497, 35.96, 27, 1 1 0
1.990, 45.59, 22, 2 0 1
1.781, 51.31, 35, 1 1 2
1.577, 58.54, 10, 1 0 3
1.556, 59.39, 21, 2 1 1
1.442, 64.65, 10, 3 0 0
1.176, 81.91, 8, 3 -1 3
1.168, 82.64, 9, 4 -1 1

Structural model:
a = 4.9946 Å, b = 4.9946 Å, c = 5.0797 Å
α = 90.00°, β = 90.00°, γ = 120.00°
Space group P312 (No. 149)
One atom of each set of equivalent atoms:
Pm (0.0000, 0.0000, 0.0000) x1
Mn (0.6667, 0.3333, 0.5000) x1
As (0.3333, 0.6667, 0.5000) x1
O (0.0100, 0.3790, 0.2922) x6